# 1
# Zr5ScTl2
Calculated X-ray powder pattern, Cu Kα, 1.54184 Å. Input: DFT lattice parameters and positions (PBE).

Top 10 peaks for 2θ from 10° to 90°, in order of rising 2θ:
2θ (°)	I_rel
19.80	18.2
28.15	12.5
34.64	100.0
40.16	32.9
40.30	16.5
45.22	8.0
58.21	27.3
69.35	12.3
69.55	18.9
69.65	6.4

Atomic structure:
```
Zr5ScTl2
1.0
6.363 0.000 0.000
0.000 12.678 0.000
0.000 0.000 4.476
Zr Sc Tl
10 2 4
direct
0.000 0.000 0.000
0.011 0.249 0.000
0.241 0.871 0.500
0.259 0.371 0.500
0.489 0.749 0.000
0.500 0.500 0.000
0.511 0.251 0.000
0.741 0.629 0.500
0.759 0.129 0.500
0.989 0.751 0.000
0.000 0.500 0.000
0.500 0.000 0.000
0.241 0.622 0.500
0.259 0.122 0.500
0.741 0.878 0.500
0.759 0.378 0.500
```

---

# 2
# Zn4Se
Calculated X-ray powder pattern, Cu Kα, 1.54184 Å. Input: DFT lattice parameters and positions (PBE).

Top 10 peaks for 2θ from 10° to 90°, in order of rising 2θ:
2θ (°)	I_rel
27.41	0.8
38.05	100.0
44.00	32.8
44.67	15.9
55.74	1.0
63.98	9.9
64.50	19.8
76.94	22.0
77.89	11.2
81.39	9.7

Atomic structure:
```
Zn4Se
1.0
-3.254 3.254 2.029
3.254 -3.254 2.029
3.254 3.254 -2.029
Zn Se
4 1
direct
0.096 0.688 0.784
0.312 0.096 0.408
0.688 0.904 0.592
0.904 0.312 0.216
0.500 0.500 0.000
```

---

# 3
# Pu2HgBr
Calculated X-ray powder pattern, Cu Kα, 1.54184 Å. Input: DFT lattice parameters and positions (PBE).

Top 10 peaks for 2θ from 10° to 90°, in order of rising 2θ:
2θ (°)	I_rel
10.07	8.7
26.15	5.4
33.27	100.0
37.32	36.9
41.09	14.2
53.80	13.1
56.71	22.4
64.74	30.3
69.89	24.3
89.01	6.8

Atomic structure:
```
Pu2HgBr
1.0
3.408 0.000 0.000
0.000 3.408 0.000
0.000 0.000 8.786
Pu Hg Br
2 1 1
direct
0.000 0.000 0.250
0.000 0.000 0.750
0.500 0.500 0.000
0.500 0.500 0.500
```

---

# 4
# TbAgHgF6
Calculated X-ray powder pattern, Cu Kα, 1.54184 Å. Input: DFT lattice parameters and positions (PBE).

Top 10 peaks for 2θ from 10° to 90°, in order of rising 2θ:
2θ (°)	I_rel
23.38	100.0
29.34	90.5
33.31	24.8
44.97	74.9
47.82	18.3
53.89	17.4
55.32	18.9
57.10	22.5
67.73	15.4
77.60	13.4

Atomic structure:
```
TbAgHgF6
1.0
5.380 0.000 0.000
0.000 5.380 0.000
0.000 0.000 11.075
Tb Ag Hg F
2 2 2 12
direct
0.000 0.000 0.000
0.500 0.500 0.500
0.000 0.000 0.666
0.500 0.500 0.166
0.000 0.000 0.333
0.500 0.500 0.833
0.182 0.182 0.158
0.199 0.199 0.854
0.211 0.211 0.490
0.289 0.711 0.990
0.301 0.699 0.354
0.318 0.682 0.658
0.682 0.318 0.658
0.699 0.301 0.354
0.711 0.289 0.990
0.789 0.789 0.490
0.801 0.801 0.854
0.818 0.818 0.158
```

---

# 5
# K6ClO2
Calculated X-ray powder pattern, Cu Kα, 1.54184 Å. Input: DFT lattice parameters and positions (PBE).

Top 10 peaks for 2θ from 10° to 90°, in order of rising 2θ:
2θ (°)	I_rel
13.48	52.3
16.82	73.2
19.97	39.5
20.14	39.0
23.68	40.4
25.52	45.0
28.14	100.0
33.12	57.0
34.85	62.8
44.38	38.3

Atomic structure:
```
K6ClO2
1.0
7.640 -2.574 0.000
7.640 2.574 0.000
-2.119 0.000 9.300
K Cl O
6 1 2
direct
0.086 0.086 0.216
0.259 0.259 0.904
0.369 0.369 0.374
0.631 0.631 0.626
0.741 0.741 0.096
0.914 0.914 0.784
0.000 0.000 0.500
0.237 0.237 0.175
0.763 0.763 0.825
```